BaCaMn4O12: computed X-ray powder pattern (CuKα), based on a GGA+U-relaxed structure.
Neutral-atom scattering factors, no anomalous dispersion.

Main lines, low angle first (2θ = 10–90°):
20.10 deg, d = 4.417 Å, intensity 658; 23.25 deg, d = 3.825 Å, intensity 179; 33.12 deg, d = 2.705 Å, intensity 1000; 39.05 deg, d = 2.307 Å, intensity 342; 47.50 deg, d = 1.914 Å, intensity 353; 47.62 deg, d = 1.910 Å, intensity 171; 59.17 deg, d = 1.562 Å, intensity 373; 69.51 deg, d = 1.352 Å, intensity 282

a = 5.4136 Å, b = 5.4136 Å, c = 7.6383 Å
α = 90.00°, β = 90.00°, γ = 90.00°
Fractional coordinates of all 18 atoms:
1 Ba 0.0000 0.0000 0.0000
2 Ca 0.5000 0.5000 0.5000
3 Mn 0.0000 0.5000 0.2516
4 Mn 0.0000 0.5000 0.7484
5 Mn 0.5000 0.0000 0.2516
6 Mn 0.5000 0.0000 0.7484
7 O 0.0000 0.5000 0.0000
8 O 0.0000 0.5000 0.5000
9 O 0.2575 0.2575 0.2642
10 O 0.2575 0.2575 0.7358
11 O 0.2575 0.7425 0.2642
12 O 0.2575 0.7425 0.7358
13 O 0.5000 0.0000 0.0000
14 O 0.5000 0.0000 0.5000
15 O 0.7425 0.2575 0.2642
16 O 0.7425 0.2575 0.7358
17 O 0.7425 0.7425 0.2642
18 O 0.7425 0.7425 0.7358